Diffraction record for MgH6CO6. The X-ray diffraction stick pattern is computed, not measured: it uses a DFT-relaxed cell (GGA-PBE, Alexandria) and a wavelength of 1.5418 Å.
Lines closer than 0.1° are merged.

Top 6 peaks for 10 to 80 degrees two-theta, in order of rising 2θ:
(1 0 -2), 13.74°, intensity 79; (2 0 -2), 22.82°, intensity 100; (0 1 3), 27.85°, intensity 34; (0 2 1), 33.68°, intensity 66; (3 0 -4), 35.55°, intensity 36; (4 0 -4), 46.62°, intensity 32

Cell and atoms:
a b c (Å): 7.7957 5.4607 14.0416
angles (deg): 90.00 122.34 90.00
Space group P2_1/c (No. 14)
Asymmetric unit:
Mg1 0.1119 0.0826 0.3535 x4
H1 0.1730 0.6370 0.0812 x4
H2 0.2804 0.5925 0.2129 x4
H3 0.3688 0.1223 0.0878 x4
H4 0.3914 0.1750 0.2067 x4
H5 0.4210 0.5767 0.8336 x4
H6 0.4958 0.1642 0.4034 x4
C1 0.1772 0.6308 0.4141 x4
O1 0.0694 0.6972 0.3091 x4
O2 0.1484 0.5835 0.1405 x4
O3 0.2140 0.0942 0.9457 x4
O4 0.2497 0.6890 0.9870 x4
O5 0.3700 0.0875 0.3401 x4
O6 0.4681 0.1620 0.1695 x4